The following is a theoretical powder X-ray diffraction pattern of Ba2PrHfO6. It was derived from a GGA-PBE-relaxed structure, using Cu Kα (λ = 1.5418 Å).
Lines closer than 0.1° are merged.

Top 10 peaks for 10° ≤ 2θ ≤ 90°, in order of rising 2θ:
(hkl), 2θ (°), d (Å), intensity
1 1 1, 17.42, 5.091, 1
2 0 0, 20.14, 4.409, 3
2 2 0, 28.63, 3.118, 100
4 0 0, 40.94, 2.205, 28
4 2 2, 50.72, 1.800, 43
4 4 0, 59.28, 1.559, 17
6 2 0, 67.13, 1.394, 19
4 4 4, 74.55, 1.273, 6
6 2 4, 81.72, 1.178, 22
8 0 0, 88.75, 1.102, 3

Unit cell a=8.8185 b=8.8185 c=8.8185 alpha=90.00 beta=90.00 gamma=90.00
Space group Pn-3 (No. 201, origin choice 2)
One atom of each set of equivalent atoms:
Ba: 0.2500 0.2500 0.2500 (multiplicity 2)
Ba: 0.2500 0.2500 0.7500 (multiplicity 6)
Pr: 0.0000 0.0000 0.0000 (multiplicity 4)
Hf: 0.0000 0.0000 0.5000 (multiplicity 4)
O: 0.0238 0.5267 0.7653 (multiplicity 24)

The following is a theoretical powder X-ray diffraction pattern of ZrNiP. It was derived from a GGA-PBE-relaxed structure, using Cu Kα (λ = 1.5418 Å).
Lines closer than 0.1° are merged.

Top 10 peaks for 10° ≤ 2θ ≤ 90°, in order of rising 2θ:
(hkl), 2θ (°), d (Å), intensity
1 0 1, 28.45, 3.137, 40
1 1 0, 39.74, 2.268, 100
1 0 2, 41.59, 2.171, 79
2 0 1, 49.60, 1.838, 9
1 1 2, 53.57, 1.711, 8
2 0 2, 58.88, 1.568, 27
3 0 0, 72.14, 1.309, 16
2 1 2, 73.40, 1.290, 27
2 2 0, 85.66, 1.134, 10
1 1 4, 86.06, 1.130, 20

Unit cell a=4.5360 b=4.5360 c=5.2114 alpha=90.00 beta=90.00 gamma=120.00
Space group P6_3/mmc (No. 194)
One atom of each set of equivalent atoms:
Zr: 0.3333 0.6667 0.2500 (multiplicity 2)
Ni: 0.0000 0.0000 0.0000 (multiplicity 2)
P: 0.3333 0.6667 0.7500 (multiplicity 2)